Simulated PXRD pattern
Compound: Co3NiTe8
Radiation: Cu Ka
Structure: DFT lattice parameters and positions (PBE)
Neutral-atom scattering factors, no anomalous dispersion.

Peak list (12 most intense, 5 to 70 degrees two-theta, low angle first)
- 14.77 deg, rel. 43, (2 0 -1)
- 29.10 deg, rel. 27, (0 0 2)
- 29.26 deg, rel. 53, (2 2 0)
- 29.79 deg, rel. 23, (4 0 -2)
- 33.97 deg, rel. 100, (2 2 -2)
- 34.12 deg, rel. 50, (4 0 0)
- 44.87 deg, rel. 11, (4 2 -3)
- 48.50 deg, rel. 56, (2 2 2)
- 49.04 deg, rel. 16, (4 0 -4)
- 49.36 deg, rel. 31, (6 2 -2)
- 57.62 deg, rel. 12, (4 0 2)
- 60.68 deg, rel. 18, (4 4 0)

Structure:
```
data_Co3NiTe8
_chemical_formula_sum 'Co6 Ni2 Te16'
_cell_length_a 12.727
_cell_length_b 7.499
_cell_length_c 7.433
_cell_angle_alpha 90.00
_cell_angle_beta 124.33
_cell_angle_gamma 90.00
_symmetry_space_group_name_H-M 'C 1 2/m 1'
_symmetry_Int_Tables_number 12
_symmetry_space_group_name_Hall '-C 2y'
loop_
_atom_site_label
_atom_site_type_symbol
_atom_site_fract_x
_atom_site_fract_y
_atom_site_fract_z
Co1 Co 0.000 0.000 0.000
Co2 Co 0.250 0.250 0.500
Ni1 Ni 0.000 0.500 0.000
Te1 Te 0.009 0.246 0.243
Te2 Te 0.243 0.000 0.259
Te3 Te 0.245 0.500 0.265
```